For BaPaSn2, a PBE-relaxed structure gives the theoretical X-ray powder pattern in this record (a wavelength of 1.5418 Å).

Most intense lines, 2θ = 10–80°, in order of rising 2θ:
2θ/deg, I (rel.)
18.7, 4
25.0, 3
31.4, 100
35.6, 37
36.9, 3
38.0, 21
51.3, 13
53.1, 21
61.4, 31
64.5, 10
65.6, 14
75.4, 4

Structural model:
```
BaPaSn2
1.0
3.564 0.000 0.000
0.000 3.564 0.000
0.000 0.000 9.475
Ba Pa Sn
1 1 2
Direct
0.000 0.000 0.000 Ba
0.000 0.000 0.500 Pa
0.500 0.500 0.275 Sn
0.500 0.500 0.725 Sn
```